# 1
Starting from the GGA-PBE geometry in Alexandria, the XRD peak list of K12Li was calculated for λ = 1.5418 Å (Cu Kα).

Largest 10 diffraction maxima, most intense first, 10° ≤ 2θ ≤ 90°:
| 2theta | I (rel.) | hkl |
| --- | --- | --- |
| 23.2 | 100 | 3 1 0 |
| 27.5 | 71 | 3 2 1 |
| 43.5 | 47 | 5 0 3 |
| 46.1 | 28 | 5 3 2 |
| 20.7 | 26 | 2 2 0 |
| 25.4 | 25 | 2 2 2 |
| 64.2 | 13 | 6 3 5 |
| 44.8 | 13 | 6 0 0 |
| 51.1 | 12 | 6 3 1 |
| 33.0 | 12 | 4 0 2 |

Cell and atoms:
```
data_K12Li
_chemical_formula_sum 'K24 Li2'
_cell_length_a 12.134
_cell_length_b 12.134
_cell_length_c 12.134
_cell_angle_alpha 90.00
_cell_angle_beta 90.00
_cell_angle_gamma 90.00
_symmetry_space_group_name_H-M 'I m -3'
_symmetry_Int_Tables_number 204
_symmetry_space_group_name_Hall '-I 2 2 3'
loop_
_atom_site_label
_atom_site_type_symbol
_atom_site_fract_x
_atom_site_fract_y
_atom_site_fract_z
_atom_site_occupancy
K1 K 0.000 0.176 0.309 1
Li1 Li 0.000 0.000 0.000 1
```

=====

# 2
Starting from the GGA-PBE geometry in Alexandria, the XRD peak list of CsK3Rb2 was calculated for λ = 1.5418 Å (Cu Kα).

Largest 10 diffraction maxima, most intense first, 10° ≤ 2θ ≤ 90°:
| 2theta | I (rel.) | hkl |
| --- | --- | --- |
| 22.6 | 100 | 2 0 2 |
| 22.9 | 24 | 2 2 -2 |
| 23.1 | 23 | 3 1 -1 |
| 39.5 | 16 | 3 3 3 |
| 39.7 | 11 | 0 6 0 |
| 31.9 | 11 | 0 2 4 |
| 32.4 | 10 | 2 4 -2 |
| 32.7 | 9 | 4 2 0 |
| 44.3 | 8 | 3 3 -5 |
| 46.1 | 7 | 2 6 2 |

Cell and atoms:
```
data_CsK3Rb2
_chemical_formula_sum 'Cs4 K12 Rb8'
_cell_length_a 12.176
_cell_length_b 13.620
_cell_length_c 12.508
_cell_angle_alpha 90.00
_cell_angle_beta 100.42
_cell_angle_gamma 90.00
_symmetry_space_group_name_H-M 'C 1 2/c 1'
_symmetry_Int_Tables_number 15
loop_
_symmetry_equiv_pos_as_xyz
'x,y,z'
'-x,-y,-z'
'-x,y,-z+1/2'
'x,-y,z+1/2'
'x+1/2,y+1/2,z'
'-x+1/2,-y+1/2,-z'
'-x+1/2,y+1/2,-z+1/2'
'x+1/2,-y+1/2,z+1/2'
loop_
_atom_site_label
_atom_site_type_symbol
_atom_site_fract_x
_atom_site_fract_y
_atom_site_fract_z
_atom_site_occupancy
Cs1 Cs 0.000 0.083 0.250 1
K1 K 0.000 0.428 0.250 1
K2 K 0.229 0.411 0.003 1
Rb1 Rb 0.127 0.249 0.626 1
```

=====

# 3
Starting from the GGA-PBE geometry in Alexandria, the XRD peak list of Ti2Zn5Pd2 was calculated for λ = 1.5418 Å (Cu Kα).

Largest 10 diffraction maxima, most intense first, 10° ≤ 2θ ≤ 90°:
| 2theta | I (rel.) | hkl |
| --- | --- | --- |
| 41.8 | 100 | 6 1 1 |
| 41.1 | 71 | 0 3 1 |
| 43.3 | 68 | 6 2 0 |
| 42.3 | 36 | 3 1 2 |
| 36.1 | 29 | 0 0 2 |
| 44.0 | 27 | 0 2 2 |
| 74.3 | 25 | 6 4 2 |
| 38.7 | 22 | 1 1 2 |
| 37.2 | 21 | 1 3 0 |
| 21.3 | 19 | 3 1 0 |

Cell and atoms:
```
data_Ti2Zn5Pd2
_chemical_formula_sum 'Ti8 Zn20 Pd8'
_cell_length_a 15.226
_cell_length_b 7.341
_cell_length_c 4.972
_cell_angle_alpha 90.00
_cell_angle_beta 90.00
_cell_angle_gamma 90.00
_symmetry_space_group_name_H-M 'I m a 2'
_symmetry_Int_Tables_number 46
loop_
_symmetry_equiv_pos_as_xyz
'x,y,z'
'-x,-y,z'
'-x+1/2,y,z'
'x+1/2,-y,z'
'x+1/2,y+1/2,z+1/2'
'-x+1/2,-y+1/2,z+1/2'
'-x,y+1/2,z+1/2'
'x,-y+1/2,z+1/2'
loop_
_atom_site_label
_atom_site_type_symbol
_atom_site_fract_x
_atom_site_fract_y
_atom_site_fract_z
_atom_site_occupancy
Ti1 Ti 0.072 0.127 0.000 1
Zn1 Zn 0.090 0.748 0.740 1
Zn2 Zn 0.168 0.034 0.513 1
Zn3 Zn 0.250 0.680 0.460 1
Pd1 Pd 0.000 0.000 0.495 1
Pd2 Pd 0.250 0.157 0.072 1
```